Simulated X-ray diffraction stick pattern
Compound: Sr2GdS3
Radiation: Cu Kα X-rays
Structure: a crystal structure in the Materials Project, relaxed with PBE
Kinematic intensities with the Lorentz-polarization factor, no thermal factor.

Atomic structure:
Lattice parameters (Å, degrees): 4.1015 4.1015 14.0546 90.00 90.00 90.00
Fractional positions:
1 Sr 0.0000 0.0000 0.2053
2 Sr 0.0000 0.0000 0.7947
3 Gd 0.5000 0.5000 0.0000
4 S 0.0000 0.0000 0.0000
5 S 0.5000 0.5000 0.2078
6 S 0.5000 0.5000 0.7922

Top 10 peaks for 2θ from 15° to 90°, by angle:
3.542 Å, intensity 786; 3.514 Å, intensity 396; 3.086 Å, intensity 522; 2.900 Å, intensity 1000; 2.840 Å, intensity 655; 2.811 Å, intensity 449; 2.237 Å, intensity 447; 2.051 Å, intensity 359; 2.018 Å, intensity 669; 1.657 Å, intensity 353



Simulated X-ray diffraction stick pattern
Compound: BaCa2I6
Radiation: Cu Kα X-rays
Structure: a crystal structure in the Materials Project, relaxed with PBE
Kinematic intensities with the Lorentz-polarization factor, no thermal factor.

Atomic structure:
Lattice parameters (Å, degrees): 7.4082 27.4408 8.2576 90.00 90.00 90.00
Fractional positions:
1 Ba 0.0000 0.1217 0.2500
2 Ba 0.0000 0.8783 0.7500
3 Ba 0.5000 0.3783 0.7500
4 Ba 0.5000 0.6217 0.2500
5 Ca 0.0000 0.2134 0.7500
6 Ca 0.0000 0.4541 0.2500
7 Ca 0.0000 0.5459 0.7500
8 Ca 0.0000 0.7866 0.2500
9 Ca 0.5000 0.0459 0.7500
10 Ca 0.5000 0.2866 0.2500
11 Ca 0.5000 0.7134 0.7500
12 Ca 0.5000 0.9541 0.2500
13 I 0.2313 0.4658 0.5669
14 I 0.2313 0.5342 0.0669
15 I 0.2436 0.1286 0.6059
16 I 0.2444 0.2893 0.5581
17 I 0.2444 0.7107 0.0581
18 I 0.2436 0.8714 0.1059
19 I 0.2556 0.2107 0.0581
20 I 0.2564 0.3714 0.1059
21 I 0.2564 0.6286 0.6059
22 I 0.2556 0.7893 0.5581
23 I 0.2687 0.0342 0.0669
24 I 0.2687 0.9658 0.5669
25 I 0.7313 0.0342 0.4331
26 I 0.7313 0.9658 0.9331
27 I 0.7444 0.2107 0.4419
28 I 0.7436 0.3714 0.3941
29 I 0.7436 0.6286 0.8941
30 I 0.7444 0.7893 0.9419
31 I 0.7564 0.1286 0.8941
32 I 0.7556 0.2893 0.9419
33 I 0.7556 0.7107 0.4419
34 I 0.7564 0.8714 0.3941
35 I 0.7687 0.4658 0.9331
36 I 0.7687 0.5342 0.4331

Top 10 peaks for 2θ from 15° to 90°, by angle:
3.704 Å, intensity 188; 3.606 Å, intensity 452; 3.520 Å, intensity 1000; 2.757 Å, intensity 244; 2.718 Å, intensity 365; 2.358 Å, intensity 317; 2.287 Å, intensity 176; 2.101 Å, intensity 226; 1.989 Å, intensity 190; 1.931 Å, intensity 134



Simulated X-ray diffraction stick pattern
Compound: Mg3ZnO4
Radiation: Cu Kα X-rays
Structure: a crystal structure in the Materials Project, relaxed with PBE
Kinematic intensities with the Lorentz-polarization factor, no thermal factor.

Atomic structure:
Lattice parameters (Å, degrees): 10.0098 10.0098 10.0098 17.39 17.39 17.39
Fractional positions:
1 Mg 0.0000 0.0000 0.0000
2 Mg 0.2502 0.2502 0.2502
3 Mg 0.7498 0.7498 0.7498
4 Zn 0.5000 0.5000 0.5000
5 O 0.1235 0.1235 0.1235
6 O 0.3749 0.3749 0.3749
7 O 0.6251 0.6251 0.6251
8 O 0.8765 0.8765 0.8765

Top 10 peaks for 2θ from 15° to 90°, by angle:
4.928 Å, intensity 123; 2.610 Å, intensity 84; 2.580 Å, intensity 84; 2.468 Å, intensity 314; 2.396 Å, intensity 71; 2.138 Å, intensity 1000; 1.513 Å, intensity 289; 1.510 Å, intensity 286; 1.289 Å, intensity 116; 1.235 Å, intensity 132



Simulated X-ray diffraction stick pattern
Compound: Tb2MgNb2O8
Radiation: Cu Kα X-rays
Structure: a crystal structure in the Materials Project, relaxed with PBE
Kinematic intensities with the Lorentz-polarization factor, no thermal factor.

Atomic structure:
Lattice parameters (Å, degrees): 5.6653 6.1659 6.3221 115.73 108.24 94.76
Fractional positions:
1 Tb 0.0000 0.0000 0.0000
2 Tb 0.3763 0.0626 0.6216
3 Mg 0.4253 0.5681 0.6349
4 Nb 0.4855 0.5933 0.1446
5 Nb 0.8472 0.4577 0.4385
6 O 0.1287 0.2650 0.4229
7 O 0.1487 0.7592 0.6598
8 O 0.2149 0.2883 0.9373
9 O 0.2433 0.8148 0.1988
10 O 0.6360 0.7640 0.5467
11 O 0.6430 0.3116 0.5471
12 O 0.6523 0.7367 0.0010
13 O 0.7140 0.2763 0.0502

Top 10 peaks for 2θ from 15° to 90°, by angle:
3.975 Å, intensity 1000; 3.458 Å, intensity 716; 3.334 Å, intensity 187; 3.233 Å, intensity 293; 3.079 Å, intensity 262; 2.826 Å, intensity 333; 2.683 Å, intensity 356; 2.620 Å, intensity 527; 2.165 Å, intensity 202; 1.575 Å, intensity 207



Simulated X-ray diffraction stick pattern
Compound: Tm2TiO5
Radiation: Cu Kα X-rays
Structure: a crystal structure in the Materials Project, relaxed with PBE
Kinematic intensities with the Lorentz-polarization factor, no thermal factor.

Atomic structure:
Lattice parameters (Å, degrees): 7.4039 3.5910 15.3516 90.00 90.00 90.00
Fractional positions:
1 Tm 0.1010 0.2500 0.0844
2 Tm 0.1601 0.2500 0.7376
3 Tm 0.3399 0.7500 0.2376
4 Tm 0.3990 0.7500 0.5844
5 Tm 0.6010 0.2500 0.4156
6 Tm 0.6601 0.2500 0.7624
7 Tm 0.8399 0.7500 0.2624
8 Tm 0.8990 0.7500 0.9156
9 Ti 0.1155 0.2500 0.4232
10 Ti 0.3845 0.7500 0.9232
11 Ti 0.6155 0.2500 0.0768
12 Ti 0.8845 0.7500 0.5768
13 O 0.0719 0.7500 0.1746
14 O 0.0749 0.7500 0.4535
15 O 0.1202 0.7500 0.6489
16 O 0.1551 0.7500 0.9957
17 O 0.2486 0.7500 0.8221
18 O 0.2514 0.2500 0.3221
19 O 0.3449 0.2500 0.4957
20 O 0.3798 0.2500 0.1489
21 O 0.4251 0.2500 0.9535
22 O 0.4281 0.2500 0.6746
23 O 0.5719 0.7500 0.3254
24 O 0.5749 0.7500 0.0465
25 O 0.6202 0.7500 0.8511
26 O 0.6551 0.7500 0.5043
27 O 0.7486 0.7500 0.6779
28 O 0.7514 0.2500 0.1779
29 O 0.8449 0.2500 0.0043
30 O 0.8798 0.2500 0.3511
31 O 0.9251 0.2500 0.5465
32 O 0.9281 0.2500 0.8254

Top 10 peaks for 2θ from 15° to 90°, by angle:
5.329 Å, intensity 198; 2.999 Å, intensity 975; 2.939 Å, intensity 1000; 2.578 Å, intensity 457; 2.559 Å, intensity 232; 2.225 Å, intensity 161; 1.816 Å, intensity 502; 1.796 Å, intensity 179; 1.566 Å, intensity 188; 1.541 Å, intensity 380



Simulated X-ray diffraction stick pattern
Compound: NaTi2O3
Radiation: Cu Kα X-rays
Structure: a crystal structure in the Materials Project, relaxed with PBE
Kinematic intensities with the Lorentz-polarization factor, no thermal factor.

Atomic structure:
Lattice parameters (Å, degrees): 3.0576 3.0576 7.8013 90.00 90.00 120.00
Fractional positions:
1 Na 0.0000 0.0000 0.0000
2 Ti 0.3333 0.6667 0.6481
3 Ti 0.6667 0.3333 0.3519
4 O 0.0000 0.0000 0.5000
5 O 0.3333 0.6667 0.2056
6 O 0.6667 0.3333 0.7944

Top 10 peaks for 2θ from 15° to 90°, by angle:
2.600 Å, intensity 110; 2.507 Å, intensity 281; 2.191 Å, intensity 1000; 1.855 Å, intensity 114; 1.570 Å, intensity 230; 1.529 Å, intensity 280; 1.344 Å, intensity 98; 1.318 Å, intensity 79; 1.254 Å, intensity 123; 1.095 Å, intensity 60



Simulated X-ray diffraction stick pattern
Compound: Te2MoW3Se6
Radiation: Cu Kα X-rays
Structure: a crystal structure in the Materials Project, relaxed with PBE
Kinematic intensities with the Lorentz-polarization factor, no thermal factor.

Atomic structure:
Lattice parameters (Å, degrees): 3.3817 3.3817 38.5295 90.00 90.00 120.00
Fractional positions:
1 Te 0.0000 0.0000 0.0000
2 Te 0.0000 0.0000 0.0981
3 Mo 0.0000 0.0000 0.8612
4 W 0.0000 0.0000 0.2369
5 W 0.3333 0.6667 0.0490
6 W 0.3333 0.6667 0.4248
7 Se 0.0000 0.0000 0.3817
8 Se 0.0000 0.0000 0.4679
9 Se 0.3333 0.6667 0.1938
10 Se 0.3333 0.6667 0.2800
11 Se 0.3333 0.6667 0.8182
12 Se 0.3333 0.6667 0.9041

Top 10 peaks for 2θ from 15° to 90°, by angle:
2.927 Å, intensity 514; 2.738 Å, intensity 181; 2.502 Å, intensity 1000; 2.417 Å, intensity 170; 2.083 Å, intensity 641; 2.006 Å, intensity 225; 1.690 Å, intensity 398; 1.652 Å, intensity 149; 1.401 Å, intensity 163; 1.243 Å, intensity 173